No. 1
This entry pairs a crystal structure of NaUAg2O6 with its simulated X-ray powder pattern. Radiation: a wavelength of 1.5418 Å. Structure: a crystal structure in Alexandria, relaxed with GGA-PBE.
Neutral-atom scattering factors, no anomalous dispersion.

Structural model:
```
data_NaUAg2O6
_chemical_formula_sum 'Na1 U1 Ag2 O6'
_symmetry_space_group_name_H-M 'P 1'
_symmetry_Int_Tables_number 1
_symmetry_space_group_name_Hall 'P 1'
_cell_length_a 5.4993
_cell_length_b 5.6792
_cell_length_c 6.0592
_cell_angle_alpha 62.52
_cell_angle_beta 70.56
_cell_angle_gamma 63.08
loop_
_atom_site_label
_atom_site_fract_x
_atom_site_fract_y
_atom_site_fract_z
Na1 0.0000 0.0000 0.0000
U1 0.5243 0.5070 0.4440
Ag1 0.2104 0.1755 0.4020
Ag2 0.7341 0.6944 0.8645
O1 0.1729 0.7827 0.6079
O2 0.2931 0.5482 0.2166
O3 0.4532 0.1081 0.6469
O4 0.6052 0.8599 0.1634
O5 0.7590 0.4371 0.6748
O6 0.8930 0.3067 0.2034
```

Top 10 peaks for 10° ≤ 2θ ≤ 80°, in order of rising 2θ:
2θ (°)  d/Å  I_rel  h k l
16.70  5.309  100  0 0 1
18.32  4.843  60  1 0 0
18.86  4.705  57  0 1 0
19.88  4.467  59  1 1 1
26.79  3.328  78  1 0 -1
29.66  3.012  49  0 1 -1
30.87  2.896  81  1 -1 0
31.59  2.832  72  1 2 1
32.84  2.727  73  2 1 1
43.01  2.103  60  -1 1 2

---

No. 2
This entry pairs a crystal structure of Pm12Nd7Tm with its simulated X-ray powder pattern. Radiation: a wavelength of 1.5418 Å. Structure: a crystal structure in Alexandria, relaxed with GGA-PBE.
Neutral-atom scattering factors, no anomalous dispersion.

Structural model:
```
data_Pm12Nd7Tm
_chemical_formula_sum 'Pm36 Nd21 Tm3'
_symmetry_space_group_name_H-M 'R -3'
_symmetry_Int_Tables_number 148
_symmetry_space_group_name_Hall '-R 3'
_cell_length_a 12.2811
_cell_length_b 12.2811
_cell_length_c 16.1792
_cell_angle_alpha 90.00
_cell_angle_beta 90.00
_cell_angle_gamma 120.00
loop_
_atom_site_label
_atom_site_fract_x
_atom_site_fract_y
_atom_site_fract_z
Pm1 0.0260 0.5765 0.2223
Pm2 0.0543 0.4664 0.5815
Nd1 0.0000 0.0000 0.0000
Nd2 0.0573 0.8697 0.2922
Tm1 0.0000 0.0000 0.5000
```

Top 10 peaks for 10° ≤ 2θ ≤ 80°, in order of rising 2θ:
2θ (°)  d/Å  I_rel  h k l
27.71  3.219  19  0 2 4
28.84  3.096  28  0 1 5
30.17  2.962  45  0 3 3
30.81  2.902  100  1 3 1
31.37  2.851  47  2 1 4
32.32  2.770  79  4 -1 2
36.39  2.469  17  1 1 6
50.52  1.807  15  1 2 8
53.64  1.709  17  7 -4 2
53.83  1.703  17  5 2 0

---

No. 3
This entry pairs a crystal structure of Sm2Ge6Rh with its simulated X-ray powder pattern. Radiation: a wavelength of 1.5418 Å. Structure: a crystal structure in Alexandria, relaxed with GGA-PBE.
Neutral-atom scattering factors, no anomalous dispersion.

Structural model:
```
data_Sm2Ge6Rh
_chemical_formula_sum 'Sm4 Ge12 Rh2'
_symmetry_space_group_name_H-M 'A m m 2'
_symmetry_Int_Tables_number 38
_symmetry_space_group_name_Hall 'A 2 -2'
_cell_length_a 4.2013
_cell_length_b 4.0026
_cell_length_c 22.2909
_cell_angle_alpha 90.00
_cell_angle_beta 90.00
_cell_angle_gamma 90.00
loop_
_atom_site_label
_atom_site_fract_x
_atom_site_fract_y
_atom_site_fract_z
Sm1 0.0000 0.0000 0.0000
Sm2 0.0000 0.0000 0.3383
Ge1 0.0000 0.0000 0.6202
Ge2 0.0000 0.0000 0.7325
Ge3 0.5000 0.0000 0.1235
Ge4 0.5000 0.0000 0.2363
Ge5 0.5000 0.0000 0.4500
Ge6 0.5000 0.0000 0.8791
Rh1 0.5000 0.0000 0.5599
```

Top 10 peaks for 10° ≤ 2θ ≤ 80°, in order of rising 2θ:
2θ (°)  d/Å  I_rel  h k l
32.15  2.784  36  1 0 6
33.18  2.700  100  1 1 3
37.00  2.430  14  1 1 5
42.16  2.143  13  1 1 7
42.94  2.106  18  0 1 9
43.06  2.101  25  2 0 0
45.31  2.001  22  0 2 0
56.64  1.625  14  1 2 6
62.42  1.488  15  2 1 9
64.29  1.449  15  2 2 0

---

No. 4
This entry pairs a crystal structure of Ta2Ti3Al2 with its simulated X-ray powder pattern. Radiation: a wavelength of 1.5418 Å. Structure: a crystal structure in Alexandria, relaxed with GGA-PBE.
Neutral-atom scattering factors, no anomalous dispersion.

Structural model:
```
data_Ta2Ti3Al2
_chemical_formula_sum 'Ta6 Ti9 Al6'
_symmetry_space_group_name_H-M 'R -3 m'
_symmetry_Int_Tables_number 166
_symmetry_space_group_name_Hall '-R 3 2"'
_cell_length_a 4.5370
_cell_length_b 4.5370
_cell_length_c 20.0925
_cell_angle_alpha 90.00
_cell_angle_beta 90.00
_cell_angle_gamma 120.00
loop_
_atom_site_label
_atom_site_fract_x
_atom_site_fract_y
_atom_site_fract_z
Ta1 0.0000 0.0000 0.1390
Ti1 0.0000 0.0000 0.0000
Ti2 0.0000 0.0000 0.4241
Al1 0.0000 0.0000 0.2785
```

Top 10 peaks for 10° ≤ 2θ ≤ 80°, in order of rising 2θ:
2θ (°)  d/Å  I_rel  h k l
13.22  6.698  90  0 0 3
23.06  3.856  43  1 0 1
28.85  3.095  57  1 0 4
38.85  2.318  100  1 0 7
39.73  2.269  97  1 1 0
42.05  2.149  34  1 1 3
42.73  2.116  17  0 1 8
56.79  1.621  32  0 2 7
69.76  1.348  17  0 1 14
71.53  1.319  32  2 1 7